[1]
# Tb6Ho6Er
Computed PXRD pattern, λ = 1.5418 Å (Cu Kα). Input: DFT lattice parameters and positions (PBE).
No peak broadening, texture or thermal motion is included.

Structural model:
a = 6.520 Å, b = 10.988 Å, c = 6.531 Å
α = 90.00°, β = 115.45°, γ = 90.00°
Space group P2/m (No. 10)
Inequivalent atoms, fractional coordinates:
Tb1 0.000 0.167 0.000 x2
Tb2 0.269 0.000 0.742 x2
Tb3 0.325 0.500 0.609 x2
Ho1 0.000 0.267 0.500 x2
Ho2 0.500 0.197 0.500 x2
Ho3 0.500 0.286 0.000 x2
Er1 0.000 0.500 0.000 x1

Peak list (6 most intense, 2θ = 5–70°, in order of rising 2θ)
| 2theta | I (rel.) | hkl |
| --- | --- | --- |
| 29.27 | 86 | 1 3 -1 |
| 30.35 | 97 | 0 0 2 |
| 32.46 | 41 | 2 0 -2 |
| 34.55 | 100 | 2 2 0 |
| 35.56 | 32 | 1 3 1 |
| 36.49 | 38 | 2 2 -2 |

=====

[2]
# Tb5Ho2Er5
Computed PXRD pattern, λ = 1.5418 Å (Cu Kα). Input: DFT lattice parameters and positions (PBE).
No peak broadening, texture or thermal motion is included.

Structural model:
a = 14.939 Å, b = 4.984 Å, c = 11.136 Å
α = 90.00°, β = 116.55°, γ = 90.00°
Space group C2/m (No. 12)
Inequivalent atoms, fractional coordinates:
Tb1 0.000 0.000 0.000 x2
Tb2 0.084 0.000 0.750 x4
Tb3 0.166 0.000 0.499 x4
Ho1 0.083 0.500 0.249 x4
Er1 0.000 0.500 0.500 x2
Er2 0.167 0.500 0.000 x4
Er3 0.250 0.000 0.249 x4

Peak list (5 most intense, 2θ = 5–70°, in order of rising 2θ)
| 2theta | I (rel.) | hkl |
| --- | --- | --- |
| 31.10 | 100 | 3 1 1 |
| 36.06 | 51 | 0 2 0 |
| 51.92 | 36 | 6 0 2 |
| 61.76 | 43 | 3 3 1 |
| 64.84 | 12 | 6 2 2 |

=====

[3]
# TbHo2ErTe5
Computed PXRD pattern, λ = 1.5418 Å (Cu Kα). Input: DFT lattice parameters and positions (PBE).
No peak broadening, texture or thermal motion is included.

Structural model:
a = 5.568 Å, b = 5.568 Å, c = 11.483 Å
α = 90.00°, β = 90.00°, γ = 90.00°
Space group P4/mmm (No. 123)
Inequivalent atoms, fractional coordinates:
Tb1 0.000 0.000 0.000 x1
Ho1 0.500 0.500 0.150 x2
Er1 0.000 0.000 0.500 x1
Te1 0.000 0.000 0.255 x2
Te2 0.000 0.500 0.000 x2
Te3 0.500 0.500 0.500 x1

Peak list (6 most intense, 2θ = 5–70°, in order of rising 2θ)
| 2theta | I (rel.) | hkl |
| --- | --- | --- |
| 7.70 | 73 | 0 0 1 |
| 22.58 | 90 | 1 1 0 |
| 32.15 | 100 | 2 0 0 |
| 32.63 | 53 | 1 1 3 |
| 35.17 | 49 | 1 0 4 |
| 48.39 | 40 | 2 1 4 |

=====

[4]
# TbHo2ErTh
Computed PXRD pattern, λ = 1.5418 Å (Cu Kα). Input: DFT lattice parameters and positions (PBE).
No peak broadening, texture or thermal motion is included.

Structural model:
a = 8.486 Å, b = 6.327 Å, c = 6.282 Å
α = 90.00°, β = 97.41°, γ = 90.00°
Space group P2/c (No. 13)
Inequivalent atoms, fractional coordinates:
Tb1 0.000 0.000 0.000 x2
Ho1 0.313 0.305 0.211 x4
Er1 0.500 0.180 0.750 x2
Th1 0.000 0.448 0.750 x2

Peak list (6 most intense, 2θ = 5–70°, in order of rising 2θ)
| 2theta | I (rel.) | hkl |
| --- | --- | --- |
| 27.84 | 60 | 2 1 -1 |
| 28.66 | 53 | 0 0 2 |
| 30.18 | 100 | 1 2 0 |
| 30.59 | 78 | 2 1 1 |
| 32.03 | 47 | 0 1 2 |
| 34.99 | 60 | 1 1 2 |

=====

[5]
# Tb2Ho6ErTh
Computed PXRD pattern, λ = 1.5418 Å (Cu Kα). Input: DFT lattice parameters and positions (PBE).
No peak broadening, texture or thermal motion is included.

Structural model:
a = 9.187 Å, b = 14.933 Å, c = 9.311 Å
α = 90.00°, β = 95.29°, γ = 90.00°
Space group C2/c (No. 15)
Inequivalent atoms, fractional coordinates:
Tb1 0.247 0.052 0.446 x8
Ho1 0.057 0.321 0.940 x8
Ho2 0.098 0.114 0.112 x8
Ho3 0.209 0.278 0.314 x8
Er1 0.000 0.089 0.750 x4
Th1 0.000 0.467 0.250 x4

Peak list (6 most intense, 2θ = 5–70°, in order of rising 2θ)
| 2theta | I (rel.) | hkl |
| --- | --- | --- |
| 28.69 | 100 | 1 3 2 |
| 30.60 | 79 | 3 1 -1 |
| 31.11 | 91 | 2 2 2 |
| 31.33 | 79 | 0 2 3 |
| 31.51 | 58 | 1 5 0 |
| 31.87 | 59 | 2 4 -1 |

=====

[6]
# Tb2Ho3Er6Tl
Computed PXRD pattern, λ = 1.5418 Å (Cu Kα). Input: DFT lattice parameters and positions (PBE).
No peak broadening, texture or thermal motion is included.

Structural model:
a = 6.040 Å, b = 10.473 Å, c = 11.588 Å
α = 90.00°, β = 100.12°, γ = 90.00°
Space group C2/m (No. 12)
Inequivalent atoms, fractional coordinates:
Tb1 0.000 0.166 0.000 x4
Ho1 0.000 0.000 0.500 x2
Ho2 0.000 0.333 0.500 x4
Er1 0.247 0.335 0.248 x8
Er2 0.248 0.500 0.750 x4
Tl1 0.000 0.500 0.000 x2

Peak list (6 most intense, 2θ = 5–70°, in order of rising 2θ)
| 2theta | I (rel.) | hkl |
| --- | --- | --- |
| 31.39 | 100 | 1 3 1 |
| 36.40 | 51 | 2 0 2 |
| 52.41 | 24 | 1 3 5 |
| 62.36 | 28 | 0 6 4 |
| 62.46 | 14 | 4 0 0 |
| 65.51 | 12 | 2 6 2 |